This entry pairs a crystal structure of Rb2VCl3F with its simulated XRD peak list. Radiation: Cu Kα, 1.54184 Å. Structure: DFT lattice parameters and positions (GGA+U).
No peak broadening, texture or thermal motion is included.

Principal peaks in the range 2θ = 10–90°, most intense first:
- 27.01 deg, I 100.0
- 34.56 deg, I 78.0
- 34.86 deg, I 53.5
- 31.98 deg, I 47.5
- 26.12 deg, I 45.5
- 23.48 deg, I 36.0
- 42.33 deg, I 32.1
- 41.98 deg, I 30.5
- 48.03 deg, I 27.4
- 55.68 deg, I 24.9

Crystal structure
```
Rb2VCl3F
1.0
4.304 0.000 0.000
0.000 5.147 0.000
0.000 0.000 16.793
Rb V Cl F
4 2 6 2
Direct
0.000 0.000 0.146
0.000 0.000 0.854
0.500 0.500 0.354
0.500 0.500 0.646
0.000 0.000 0.500
0.500 0.500 0.000
0.000 0.000 0.347
0.000 0.000 0.653
0.000 0.500 0.500
0.500 0.000 0.000
0.500 0.500 0.153
0.500 0.500 0.847
0.000 0.500 0.000
0.500 0.000 0.500
```